Diffraction record for CaMg6Cr. The X-ray diffraction stick pattern is theoretical, not measured: it uses a crystal structure in the Materials Project, relaxed with GGA-PBE and copper Kα.
Lines closer than 0.1° are merged.

Main lines, sorted by position (2θ = 10–90°):
5.647 Å, 15.7 deg, I = 7.9
2.821 Å, 31.7 deg, I = 26.4
2.594 Å, 34.6 deg, I = 25.3
2.478 Å, 36.2 deg, I = 100.0
1.910 Å, 47.6 deg, I = 15.8
1.630 Å, 56.5 deg, I = 11.1
1.474 Å, 63.0 deg, I = 17.7
1.380 Å, 67.9 deg, I = 12.2
1.378 Å, 68.0 deg, I = 6.0
1.360 Å, 69.0 deg, I = 8.6

Lattice parameters (Å, degrees): 5.188 6.520 6.520 59.87 90.00 90.00
Sites, in units of the cell vectors:
Ca: 0.000 0.000 0.000
Mg: 0.000 0.005 0.498
Mg: 0.000 0.498 0.005
Mg: 0.500 0.171 0.171
Mg: 0.500 0.181 0.654
Mg: 0.500 0.654 0.181
Mg: 0.500 0.662 0.662
Cr: 0.000 0.499 0.499